Simulated powder diffractogram
Compound: Sm2Ga9NiGe2
Radiation: Cu Kα (λ = 1.5418 Å)
Structure: DFT lattice parameters and positions (PBE)

Atomic structure:
abc: 6.0066 6.0066 14.8992
angles: 90.00 90.00 90.00
Space group P4/nmm (No. 129, origin choice 2)
Unique sites:
Sm: 0.2500 0.7500 0.2464 x4
Ga: 0.0234 0.0234 0.0878 x8
Ga: 0.0282 0.0282 0.4157 x8
Ga: 0.2500 0.2500 0.6569 x2
Ni: 0.2500 0.7500 0.0000 x2
Ge: 0.2500 0.2500 0.2599 x2
Ge: 0.2500 0.2500 0.8240 x2

Top 6 peaks for 2θ = 5–70°, in order of rising 2θ:
2θ/deg, d_spacing, I/Imax, hkl
31.96, 2.800, 34, 1 1 4
32.13, 2.785, 100, 2 0 2
36.17, 2.483, 24, 0 0 6
38.51, 2.338, 67, 2 0 4
42.57, 2.124, 69, 2 2 0
57.07, 1.614, 22, 2 2 6